1.
Simulated powder diffractogram of SrLiMnBr6 for CuKα, from a cell relaxed with PBE.
Kinematic intensities with the Lorentz-polarization factor, no thermal factor.

Peak list (10 most intense, 10° ≤ 2θ ≤ 80°, sorted by position)
2θ 20.1, intensity 29.2, (1 0 1); 2θ 27.0, intensity 12.8, (0 0 2); 2θ 29.3, intensity 100.0, (1 1 1); 2θ 30.1, intensity 9.4, (2 0 0); 2θ 37.8, intensity 46.9, (2 -1 2); 2θ 42.5, intensity 16.1, (3 -1 1); 2θ 45.8, intensity 28.3, (3 0 0); 2θ 49.2, intensity 19.1, (1 1 3); 2θ 55.3, intensity 12.0, (4 -2 1); 2θ 74.8, intensity 9.5, (3 0 4)

Crystal structure
```
data_SrLiMnBr6
_chemical_formula_sum 'Sr1 Li1 Mn1 Br6'
_cell_length_a 6.8636
_cell_length_b 6.8636
_cell_length_c 6.6064
_cell_angle_alpha 90.00
_cell_angle_beta 90.00
_cell_angle_gamma 120.00
_space_group_name_H-M_alt 'P 3 1 2'
_space_group_IT_number 149
loop_
_space_group_symop_operation_xyz
'x,y,z'
'-y,x-y,z'
'-x+y,-x,z'
'-y,-x,-z'
'-x+y,y,-z'
'x,x-y,-z'
loop_
_atom_site_label
_atom_site_fract_x
_atom_site_fract_y
_atom_site_fract_z
Sr1 0.0000 0.0000 0.0000
Li1 0.3333 0.6667 0.5000
Mn1 0.6667 0.3333 0.5000
Br1 0.3736 0.0154 0.7251
```

2.
Simulated powder diffractogram of PuTiH4 for CuKα, from a cell relaxed with PBE.
Kinematic intensities with the Lorentz-polarization factor, no thermal factor.

Peak list (10 most intense, 10° ≤ 2θ ≤ 80°, sorted by position)
2θ 20.2, intensity 34.4, (0 1 1); 2θ 20.6, intensity 29.7, (1 0 1); 2θ 32.3, intensity 100.0, (1 1 2); 2θ 35.7, intensity 18.6, (0 2 0); 2θ 36.6, intensity 17.4, (2 0 0); 2θ 40.1, intensity 13.4, (0 0 4); 2θ 52.0, intensity 13.5, (2 2 0); 2θ 62.0, intensity 15.7, (1 3 2); 2θ 63.1, intensity 14.8, (3 1 2); 2θ 67.6, intensity 11.8, (2 2 4)

Crystal structure
```
data_PuTiH4
_chemical_formula_sum 'Pu4 Ti4 H16'
_cell_length_a 4.9168
_cell_length_b 5.0353
_cell_length_c 8.9903
_cell_angle_alpha 90.00
_cell_angle_beta 90.00
_cell_angle_gamma 90.00
_space_group_name_H-M_alt 'I m m a'
_space_group_IT_number 74
_space_group_name_Hall '-I 2b 2'
loop_
_atom_site_label
_atom_site_fract_x
_atom_site_fract_y
_atom_site_fract_z
Pu1 0.0000 0.2500 0.1281
Ti1 0.0000 0.2500 0.6236
H1 0.2074 0.0000 0.5000
H2 0.2500 0.0493 0.7500
```

3.
Simulated powder diffractogram of TbPr4Nd for CuKα, from a cell relaxed with PBE.
Kinematic intensities with the Lorentz-polarization factor, no thermal factor.

Peak list (10 most intense, 10° ≤ 2θ ≤ 80°, sorted by position)
2θ 26.7, intensity 52.6, (1 1 0); 2θ 29.9, intensity 100.0, (2 0 2); 2θ 30.3, intensity 53.4, (2 0 -4); 2θ 34.3, intensity 50.5, (3 1 -2); 2θ 34.3, intensity 50.2, (1 1 2); 2θ 40.8, intensity 33.9, (1 1 -4); 2θ 51.0, intensity 22.6, (5 1 0); 2θ 56.5, intensity 24.1, (5 1 -6); 2θ 60.5, intensity 27.0, (7 1 -4); 2θ 61.1, intensity 26.2, (2 2 2)

Crystal structure
```
data_TbPr4Nd
_chemical_formula_sum 'Tb2 Pr8 Nd2'
_cell_length_a 11.9639
_cell_length_b 3.5215
_cell_length_c 11.7940
_cell_angle_alpha 90.00
_cell_angle_beta 119.62
_cell_angle_gamma 90.00
_space_group_name_H-M_alt 'C 1 2/m 1'
_space_group_IT_number 12
loop_
_space_group_symop_operation_xyz
'x,y,z'
'-x,-y,-z'
'-x,y,-z'
'x,-y,z'
'x+1/2,y+1/2,z'
'-x+1/2,-y+1/2,-z'
'-x+1/2,y+1/2,-z'
'x+1/2,-y+1/2,z'
loop_
_atom_site_label
_atom_site_fract_x
_atom_site_fract_y
_atom_site_fract_z
Tb1 0.0000 0.0000 0.0000
Pr1 0.1862 0.0000 0.3419
Pr2 0.1888 0.0000 0.8454
Nd1 0.0000 0.0000 0.5000
```

4.
Simulated powder diffractogram of AcLuPd for CuKα, from a cell relaxed with PBE.
Kinematic intensities with the Lorentz-polarization factor, no thermal factor.

Peak list (10 most intense, 10° ≤ 2θ ≤ 80°, sorted by position)
2θ 28.1, intensity 100.0, (1 0 1); 2θ 28.7, intensity 11.9, (0 0 2); 2θ 37.8, intensity 30.3, (0 1 2); 2θ 42.4, intensity 32.3, (1 1 0); 2θ 50.5, intensity 19.3, (0 1 3); 2θ 51.7, intensity 19.0, (0 2 1); 2θ 52.0, intensity 14.4, (1 1 2); 2θ 58.1, intensity 8.8, (2 0 2); 2θ 69.0, intensity 16.2, (2 1 1); 2θ 75.7, intensity 9.0, (1 1 4)

Crystal structure
```
data_AcLuPd
_chemical_formula_sum 'Ac1 Lu1 Pd1'
_cell_length_a 4.2611
_cell_length_b 4.2611
_cell_length_c 6.2191
_cell_angle_alpha 90.00
_cell_angle_beta 90.00
_cell_angle_gamma 120.00
_space_group_name_H-M_alt 'P 3 m 1'
_space_group_IT_number 156
loop_
_space_group_symop_operation_xyz
'x,y,z'
'-y,x-y,z'
'-x+y,-x,z'
'-y,-x,z'
'-x+y,y,z'
'x,x-y,z'
loop_
_atom_site_label
_atom_site_fract_x
_atom_site_fract_y
_atom_site_fract_z
Ac1 0.0000 0.0000 0.0000
Lu1 0.3333 0.6667 0.5016
Pd1 0.6667 0.3333 0.3030
```

5.
Simulated powder diffractogram of La3Cu11 for CuKα, from a cell relaxed with PBE.
Kinematic intensities with the Lorentz-polarization factor, no thermal factor.

Peak list (10 most intense, 10° ≤ 2θ ≤ 80°, sorted by position)
2θ 29.9, intensity 34.0, (1 0 3); 2θ 34.8, intensity 21.9, (0 2 4); 2θ 36.1, intensity 100.0, (1 2 3); 2θ 36.6, intensity 51.7, (1 3 0); 2θ 36.9, intensity 50.2, (0 3 3); 2θ 39.4, intensity 26.3, (1 3 2); 2θ 41.7, intensity 32.1, (1 0 5); 2θ 42.4, intensity 52.9, (2 0 0); 2θ 57.4, intensity 19.7, (2 3 3); 2θ 70.1, intensity 18.2, (1 6 3)

Crystal structure
```
data_La3Cu11
_chemical_formula_sum 'La6 Cu22'
_cell_length_a 4.2675
_cell_length_b 9.0136
_cell_length_c 12.5516
_cell_angle_alpha 90.00
_cell_angle_beta 90.00
_cell_angle_gamma 90.00
_space_group_name_H-M_alt 'I m m m'
_space_group_IT_number 71
_space_group_name_Hall '-I 2 2'
loop_
_atom_site_label
_atom_site_fract_x
_atom_site_fract_y
_atom_site_fract_z
La1 0.0000 0.0000 0.0000
La2 0.0000 0.0000 0.3062
Cu1 0.0000 0.2124 0.5000
Cu2 0.0000 0.2807 0.1178
Cu3 0.0000 0.3508 0.3249
Cu4 0.0000 0.5000 0.0000
```

6.
Simulated powder diffractogram of La2NdHo4 for CuKα, from a cell relaxed with PBE.
Kinematic intensities with the Lorentz-polarization factor, no thermal factor.

Peak list (10 most intense, 10° ≤ 2θ ≤ 80°, sorted by position)
2θ 28.4, intensity 10.6, (0 1 -2); 2θ 30.2, intensity 9.6, (2 -1 0); 2θ 30.7, intensity 14.6, (0 3 1); 2θ 31.1, intensity 42.3, (2 2 1); 2θ 31.6, intensity 19.7, (1 1 3); 2θ 31.7, intensity 50.3, (-2 1 1); 2θ 32.0, intensity 100.0, (1 1 -2); 2θ 46.1, intensity 7.3, (-1 2 4); 2θ 52.5, intensity 8.4, (2 4 4); 2θ 57.2, intensity 13.4, (0 3 -3)

Crystal structure
```
data_La2NdHo4
_chemical_formula_sum 'La4 Nd2 Ho8'
_cell_length_a 6.7425
_cell_length_b 8.8555
_cell_length_c 8.8801
_cell_angle_alpha 66.00
_cell_angle_beta 80.84
_cell_angle_gamma 81.00
_space_group_name_H-M_alt 'P 1'
_space_group_IT_number 1
loop_
_space_group_symop_operation_xyz
'x,y,z'
loop_
_atom_site_label
_atom_site_fract_x
_atom_site_fract_y
_atom_site_fract_z
La1 0.0000 0.0000 0.0000
La2 0.0841 0.8861 0.6277
La3 0.2852 0.3494 0.5063
La4 0.4905 0.5956 0.6756
Nd1 0.5140 0.2095 0.9816
Nd2 0.6918 0.4700 0.1824
Ho1 0.0964 0.1907 0.2474
Ho2 0.2066 0.5924 0.0547
Ho3 0.3872 0.8029 0.2675
Ho4 0.6168 0.8529 0.8616
Ho5 0.6199 0.0338 0.4047
Ho6 0.7925 0.2608 0.5946
Ho7 0.8978 0.6788 0.3855
Ho8 0.9630 0.4631 0.8217
```